1.
Computed X-ray diffraction stick pattern
Compound: Li3Mn2V5O12
Radiation: Cu Ka
Structure: a cell relaxed with GGA+U

Crystal structure
a = 5.231 Å, b = 5.231 Å, c = 9.837 Å
α = 94.60°, β = 94.60°, γ = 118.61°
Positions (direct):
Li1 0.000 0.000 0.000
Li2 0.396 0.072 0.247
Li3 0.928 0.604 0.753
Mn1 0.332 0.668 0.000
Mn2 0.837 0.163 0.500
V1 0.079 0.423 0.247
V2 0.161 0.839 0.500
V3 0.501 0.499 0.500
V4 0.577 0.921 0.753
V5 0.659 0.341 0.000
O1 0.038 0.682 0.110
O2 0.159 0.161 0.380
O3 0.236 0.582 0.623
O4 0.318 0.962 0.890
O5 0.345 0.378 0.107
O6 0.418 0.764 0.377
O7 0.520 0.181 0.615
O8 0.622 0.655 0.893
O9 0.701 0.112 0.126
O10 0.819 0.480 0.385
O11 0.839 0.841 0.620
O12 0.888 0.299 0.874

Top 12 peaks for 2θ = 5–70°, by angle:
18.26°, I = 52; 19.74°, I = 29; 20.40°, I = 18; 22.68°, I = 43; 31.67°, I = 14; 34.94°, I = 14; 36.37°, I = 20; 41.45°, I = 60; 42.81°, I = 100; 60.49°, I = 29; 61.72°, I = 27; 62.41°, I = 13

2.
Computed X-ray diffraction stick pattern
Compound: Li2MnV3O8
Radiation: Cu Ka
Structure: a cell relaxed with GGA+U

Crystal structure
a = 6.042 Å, b = 6.042 Å, c = 6.042 Å
α = 59.11°, β = 59.11°, γ = 59.11°
Positions (direct):
Li1 0.000 0.000 0.000
Li2 0.382 0.382 0.382
Mn1 0.758 0.758 0.758
V1 0.378 0.378 0.887
V2 0.378 0.887 0.378
V3 0.887 0.378 0.378
O1 0.128 0.128 0.590
O2 0.128 0.590 0.128
O3 0.140 0.140 0.140
O4 0.174 0.629 0.629
O5 0.590 0.128 0.128
O6 0.620 0.620 0.620
O7 0.629 0.174 0.629
O8 0.629 0.629 0.174

Top 12 peaks for 2θ = 5–70°, by angle:
17.86°, I = 100; 18.19°, I = 21; 20.94°, I = 47; 29.58°, I = 47; 34.77°, I = 21; 35.12°, I = 54; 35.30°, I = 79; 42.62°, I = 61; 56.01°, I = 35; 56.37°, I = 17; 61.40°, I = 38; 62.32°, I = 41

3.
Computed X-ray diffraction stick pattern
Compound: Li2MnV3O8
Radiation: Cu Ka
Structure: a cell relaxed with GGA+U

Crystal structure
a = 6.031 Å, b = 6.031 Å, c = 6.031 Å
α = 59.32°, β = 59.32°, γ = 59.32°
Positions (direct):
Li1 0.000 0.000 0.000
Li2 0.380 0.380 0.380
Mn1 0.758 0.758 0.758
V1 0.371 0.384 0.886
V2 0.384 0.886 0.371
V3 0.886 0.371 0.384
O1 0.114 0.145 0.587
O2 0.139 0.139 0.139
O3 0.145 0.587 0.114
O4 0.175 0.639 0.612
O5 0.587 0.114 0.145
O6 0.612 0.175 0.639
O7 0.619 0.619 0.619
O8 0.639 0.612 0.175

Top 12 peaks for 2θ = 5–70°, by angle:
17.92°, I = 100; 18.17°, I = 22; 20.94°, I = 47; 29.63°, I = 48; 34.84°, I = 22; 35.11°, I = 55; 35.25°, I = 82; 42.63°, I = 62; 56.09°, I = 33; 56.37°, I = 18; 61.51°, I = 39; 62.21°, I = 40

4.
Computed X-ray diffraction stick pattern
Compound: Li5Mn3V2O10
Radiation: Cu Ka
Structure: a cell relaxed with GGA+U

Crystal structure
a = 5.202 Å, b = 5.254 Å, c = 7.886 Å
α = 107.72°, β = 100.53°, γ = 101.85°
Positions (direct):
Li1 0.000 0.000 0.000
Li2 0.119 0.209 0.723
Li3 0.299 0.599 0.103
Li4 0.701 0.401 0.897
Li5 0.881 0.791 0.277
Mn1 0.194 0.391 0.400
Mn2 0.500 0.000 0.500
Mn3 0.806 0.609 0.600
V1 0.397 0.795 0.813
V2 0.603 0.205 0.187
O1 0.079 0.617 0.846
O2 0.179 0.815 0.564
O3 0.289 0.007 0.263
O4 0.362 0.173 0.959
O5 0.450 0.430 0.668
O6 0.550 0.570 0.332
O7 0.638 0.827 0.041
O8 0.711 0.993 0.737
O9 0.821 0.185 0.436
O10 0.921 0.383 0.154

Top 12 peaks for 2θ = 5–70°, by angle:
12.21°, I = 90; 18.06°, I = 49; 18.17°, I = 100; 21.98°, I = 30; 26.45°, I = 23; 36.18°, I = 25; 41.63°, I = 91; 41.95°, I = 87; 43.65°, I = 80; 60.46°, I = 28; 60.70°, I = 24; 61.90°, I = 47

5.
Computed X-ray diffraction stick pattern
Compound: Li2MnV3O8
Radiation: Cu Ka
Structure: a cell relaxed with GGA+U

Crystal structure
a = 5.949 Å, b = 5.949 Å, c = 10.334 Å
α = 107.19°, β = 107.19°, γ = 60.51°
Positions (direct):
Li1 0.188 0.188 0.059
Li2 0.312 0.312 0.441
Li3 0.688 0.688 0.559
Li4 0.812 0.812 0.941
Mn1 0.000 0.000 0.500
Mn2 0.500 0.500 0.000
V1 0.250 0.250 0.751
V2 0.250 0.750 0.249
V3 0.250 0.750 0.751
V4 0.750 0.250 0.249
V5 0.750 0.250 0.751
V6 0.750 0.750 0.249
O1 0.099 0.660 0.374
O2 0.105 0.105 0.372
O3 0.127 0.127 0.855
O4 0.161 0.601 0.876
O5 0.340 0.901 0.626
O6 0.374 0.374 0.646
O7 0.395 0.395 0.125
O8 0.399 0.839 0.124
O9 0.601 0.161 0.876
O10 0.605 0.605 0.875
O11 0.626 0.626 0.354
O12 0.660 0.099 0.374
O13 0.839 0.399 0.124
O14 0.873 0.873 0.145
O15 0.895 0.895 0.628
O16 0.901 0.340 0.626

Top 12 peaks for 2θ = 5–70°, by angle:
18.15°, I = 100; 18.27°, I = 32; 18.38°, I = 41; 35.22°, I = 45; 35.43°, I = 19; 35.55°, I = 14; 42.85°, I = 33; 42.98°, I = 66; 56.65°, I = 21; 61.92°, I = 10; 62.16°, I = 20; 62.45°, I = 19

6.
Computed X-ray diffraction stick pattern
Compound: LiMnVO4
Radiation: Cu Ka
Structure: a cell relaxed with GGA+U

Crystal structure
a = 6.086 Å, b = 6.086 Å, c = 8.359 Å
α = 90.00°, β = 90.00°, γ = 90.00°
Positions (direct):
Li1 0.000 0.250 0.000
Li2 0.000 0.750 0.500
Li3 0.250 0.000 0.250
Li4 0.750 0.000 0.750
Mn1 0.254 0.254 0.625
Mn2 0.254 0.746 0.875
Mn3 0.746 0.254 0.375
Mn4 0.746 0.746 0.125
V1 0.226 0.500 0.250
V2 0.500 0.226 0.000
V3 0.500 0.774 0.500
V4 0.774 0.500 0.750
O1 0.042 0.273 0.258
O2 0.042 0.727 0.242
O3 0.272 0.485 0.026
O4 0.272 0.515 0.474
O5 0.273 0.042 0.992
O6 0.273 0.958 0.508
O7 0.485 0.272 0.224
O8 0.485 0.728 0.276
O9 0.515 0.272 0.776
O10 0.515 0.728 0.724
O11 0.727 0.042 0.008
O12 0.727 0.958 0.492
O13 0.728 0.485 0.974
O14 0.728 0.515 0.526
O15 0.958 0.273 0.742
O16 0.958 0.727 0.758

Top 12 peaks for 2θ = 5–70°, by angle:
14.56°, I = 37; 23.25°, I = 49; 25.86°, I = 27; 29.35°, I = 31; 29.80°, I = 59; 34.66°, I = 100; 35.43°, I = 53; 52.34°, I = 23; 55.54°, I = 37; 57.14°, I = 16; 60.89°, I = 24; 61.90°, I = 46